Entry 1:
For PaMnAs3, a crystal structure in Alexandria, relaxed with GGA-PBE gives the calculated XRD peak list in this record (λ = 1.5418 Å (Cu Kα)).
Peak positions follow from Bragg's law for the DFT cell and can differ from measured ones.

Crystal structure
Lattice parameters (Å, degrees): 5.4466 5.8263 5.8806 90.00 90.77 90.00
Fractional coordinates of all 10 atoms:
Pa (0.2382, 0.2500, 0.3673)
Pa (0.7618, 0.7500, 0.6327)
Mn (0.4988, 0.7500, 0.0587)
Mn (0.5012, 0.2500, 0.9413)
As (0.1949, 0.5172, 0.8570)
As (0.1949, 0.9828, 0.8570)
As (0.2722, 0.7500, 0.4082)
As (0.7278, 0.2500, 0.5918)
As (0.8051, 0.0172, 0.1430)
As (0.8051, 0.4828, 0.1430)

Main lines, in order of rising 2θ (10° ≤ 2θ ≤ 90°):
- 21.5°, I 35
- 22.4°, I 56
- 26.9°, I 29
- 32.9°, I 59
- 34.4°, I 54
- 34.5°, I 99
- 34.9°, I 63
- 38.1°, I 33
- 38.3°, I 100
- 48.1°, I 57

=====

Entry 2:
For SmThTe2Se, a crystal structure in Alexandria, relaxed with GGA-PBE gives the calculated XRD peak list in this record (λ = 1.5418 Å (Cu Kα)).
Peak positions follow from Bragg's law for the DFT cell and can differ from measured ones.

Crystal structure
Lattice parameters (Å, degrees): 4.4787 4.4787 15.0652 90.00 90.00 90.00
Fractional coordinates of all 10 atoms:
Sm (0.2500, 0.2500, 0.0862)
Sm (0.7500, 0.7500, 0.9138)
Th (0.2500, 0.2500, 0.6269)
Th (0.7500, 0.7500, 0.3731)
Te (0.2500, 0.2500, 0.2970)
Te (0.2500, 0.2500, 0.8753)
Te (0.7500, 0.7500, 0.1247)
Te (0.7500, 0.7500, 0.7030)
Se (0.2500, 0.7500, 0.5000)
Se (0.7500, 0.2500, 0.5000)

Main lines, in order of rising 2θ (10° ≤ 2θ ≤ 90°):
- 23.1°, I 28
- 23.6°, I 24
- 28.2°, I 100
- 31.0°, I 28
- 33.5°, I 26
- 35.9°, I 39
- 37.1°, I 71
- 40.3°, I 65
- 58.9°, I 33
- 73.8°, I 27

=====

Entry 3:
For La8DyHo5, a crystal structure in Alexandria, relaxed with GGA-PBE gives the calculated XRD peak list in this record (λ = 1.5418 Å (Cu Kα)).
Peak positions follow from Bragg's law for the DFT cell and can differ from measured ones.

Crystal structure
Lattice parameters (Å, degrees): 8.6447 8.6621 8.7099 114.25 115.70 98.55
Fractional coordinates of all 14 atoms:
La (0.0000, 0.0000, 0.0000)
La (0.0009, 0.6820, 0.5632)
La (0.3952, 0.4933, 0.3202)
La (0.4426, 0.1230, 0.5570)
La (0.5593, 0.5580, 0.9906)
La (0.6099, 0.1865, 0.2287)
La (0.7401, 0.9562, 0.5089)
La (0.8856, 0.3459, 0.0403)
Dy (0.0127, 0.8376, 0.2818)
Ho (0.1306, 0.3408, 0.5214)
Ho (0.2229, 0.1570, 0.8152)
Ho (0.2557, 0.7233, 0.0289)
Ho (0.4857, 0.8300, 0.7697)
Ho (0.7782, 0.5242, 0.7361)

Main lines, in order of rising 2θ (10° ≤ 2θ ≤ 90°):
- 22.9°, I 15
- 25.6°, I 14
- 29.5°, I 49
- 30.7°, I 40
- 31.3°, I 100
- 31.7°, I 30
- 31.9°, I 20
- 32.2°, I 64
- 34.2°, I 40
- 49.7°, I 17

=====

Entry 4:
For Nb2V3Re, a crystal structure in Alexandria, relaxed with GGA-PBE gives the calculated XRD peak list in this record (λ = 1.5418 Å (Cu Kα)).
Peak positions follow from Bragg's law for the DFT cell and can differ from measured ones.

Crystal structure
Lattice parameters (Å, degrees): 5.0987 5.0987 5.0987 60.04 60.04 60.04
Fractional coordinates of all 6 atoms:
Nb (0.1252, 0.1252, 0.1252)
Nb (0.8748, 0.8748, 0.8748)
V (0.0000, 0.5000, 0.5000)
V (0.5000, 0.0000, 0.5000)
V (0.5000, 0.5000, 0.0000)
Re (0.5000, 0.5000, 0.5000)

Main lines, in order of rising 2θ (10° ≤ 2θ ≤ 90°):
- 21.3°, I 25
- 24.7°, I 16
- 35.2°, I 41
- 41.5°, I 100
- 43.5°, I 31
- 57.1°, I 7
- 63.2°, I 15
- 67.5°, I 31
- 74.4°, I 22
- 89.0°, I 11